For ErMnO3, a crystal structure in the Materials Project, relaxed with GGA+U gives the simulated X-ray powder pattern in this record (Cu Kα).
Intensities are scaled so that the largest is 100.

Structural model:
Lattice parameters (Å, degrees): 5.844 7.456 5.294 90.00 90.00 90.00
Atoms (fractional coordinates):
Er 0.084 0.250 0.019
Er 0.416 0.750 0.519
Er 0.584 0.250 0.481
Er 0.916 0.750 0.981
Mn 0.000 0.000 0.500
Mn 0.000 0.500 0.500
Mn 0.500 0.000 0.000
Mn 0.500 0.500 0.000
O 0.046 0.750 0.376
O 0.173 0.558 0.802
O 0.173 0.942 0.802
O 0.327 0.058 0.302
O 0.327 0.442 0.302
O 0.454 0.250 0.876
O 0.546 0.750 0.124
O 0.673 0.558 0.698
O 0.673 0.942 0.698
O 0.827 0.058 0.198
O 0.827 0.442 0.198
O 0.954 0.250 0.624

Largest 8 diffraction maxima, low angle first, 10° ≤ 2θ ≤ 80°:
22.66°, intensity 23.1, (1 0 1); 25.66°, intensity 38.9, (1 1 1); 32.92°, intensity 23.4, (2 1 0); 33.15°, intensity 100.0, (1 2 1); 33.87°, intensity 25.5, (0 0 2); 47.95°, intensity 22.8, (2 1 2); 51.47°, intensity 25.7, (3 1 1); 60.12°, intensity 30.6, (1 2 3)

---

For Li3Mn2CoO6, a crystal structure in the Materials Project, relaxed with GGA+U gives the simulated X-ray powder pattern in this record (Cu Kα).
Intensities are scaled so that the largest is 100.

Structural model:
Lattice parameters (Å, degrees): 2.993 2.993 14.694 90.00 90.00 120.00
Atoms (fractional coordinates):
Li 0.000 0.000 0.000
Li 0.333 0.667 0.345
Li 0.667 0.333 0.655
Mn 0.333 0.667 0.832
Mn 0.667 0.333 0.168
Co 0.000 0.000 0.500
O 0.000 0.000 0.239
O 0.000 0.000 0.761
O 0.333 0.667 0.091
O 0.333 0.667 0.578
O 0.667 0.333 0.422
O 0.667 0.333 0.909

Largest 8 diffraction maxima, low angle first, 10° ≤ 2θ ≤ 80°:
18.11°, intensity 100.0, (0 0 3); 35.15°, intensity 42.4, (0 1 1); 36.75°, intensity 17.8, (0 0 6); 42.69°, intensity 80.1, (0 1 4); 46.73°, intensity 14.2, (1 0 5); 56.40°, intensity 16.7, (0 1 7); 61.96°, intensity 43.6, (1 1 0); 65.18°, intensity 14.7, (1 1 3)

---

For TmFeO3, a crystal structure in the Materials Project, relaxed with GGA+U gives the simulated X-ray powder pattern in this record (Cu Kα).
Intensities are scaled so that the largest is 100.

Structural model:
Lattice parameters (Å, degrees): 5.612 7.673 5.273 90.00 90.00 90.00
Atoms (fractional coordinates):
Tm 0.072 0.250 0.021
Tm 0.428 0.750 0.521
Tm 0.572 0.250 0.479
Tm 0.928 0.750 0.979
Fe 0.000 0.000 0.500
Fe 0.000 0.500 0.500
Fe 0.500 0.000 0.000
Fe 0.500 0.500 0.000
O 0.049 0.750 0.375
O 0.192 0.564 0.811
O 0.192 0.936 0.811
O 0.308 0.064 0.311
O 0.308 0.436 0.311
O 0.451 0.250 0.875
O 0.549 0.750 0.125
O 0.692 0.564 0.689
O 0.692 0.936 0.689
O 0.808 0.064 0.189
O 0.808 0.436 0.189
O 0.951 0.250 0.625

Largest 8 diffraction maxima, low angle first, 10° ≤ 2θ ≤ 80°:
23.16°, intensity 37.6, (0 2 0); 25.93°, intensity 24.8, (1 1 1); 31.89°, intensity 16.8, (2 0 0); 32.99°, intensity 100.0, (1 2 1); 34.01°, intensity 39.1, (0 0 2); 47.35°, intensity 28.6, (0 4 0); 53.33°, intensity 25.8, (3 1 1); 60.23°, intensity 27.1, (1 2 3)

---

For MnH8Cl2O4, a crystal structure in the Materials Project, relaxed with GGA+U gives the simulated X-ray powder pattern in this record (Cu Kα).
Intensities are scaled so that the largest is 100.

Structural model:
Lattice parameters (Å, degrees): 7.095 10.165 11.640 90.00 113.43 90.00
Atoms (fractional coordinates):
Mn 0.222 0.231 0.253
Mn 0.222 0.269 0.753
Mn 0.778 0.731 0.247
Mn 0.778 0.769 0.747
H 0.018 0.643 0.118
H 0.018 0.857 0.618
H 0.091 0.549 0.238
H 0.091 0.951 0.738
H 0.248 0.745 0.292
H 0.248 0.755 0.792
H 0.301 0.680 0.572
H 0.301 0.820 0.072
H 0.387 0.529 0.836
H 0.387 0.971 0.336
H 0.394 0.637 0.589
H 0.394 0.863 0.089
H 0.397 0.196 0.065
H 0.397 0.304 0.565
H 0.444 0.578 0.092
H 0.444 0.922 0.592
H 0.556 0.078 0.408
H 0.556 0.422 0.908
H 0.603 0.696 0.435
H 0.603 0.804 0.935
H 0.606 0.137 0.911
H 0.606 0.363 0.411
H 0.613 0.029 0.664
H 0.613 0.471 0.164
H 0.699 0.180 0.928
H 0.699 0.320 0.428
H 0.752 0.245 0.208
H 0.752 0.255 0.708
H 0.909 0.049 0.262
H 0.909 0.451 0.762
H 0.982 0.143 0.382
H 0.982 0.357 0.882
Cl 0.003 0.662 0.935
Cl 0.003 0.838 0.435
Cl 0.230 0.099 0.897
Cl 0.230 0.401 0.397
Cl 0.770 0.599 0.603
Cl 0.770 0.901 0.103
Cl 0.997 0.162 0.565
Cl 0.997 0.338 0.065
O 0.044 0.639 0.209
O 0.044 0.861 0.709
O 0.366 0.696 0.841
O 0.366 0.804 0.341
O 0.412 0.068 0.352
O 0.412 0.432 0.852
O 0.457 0.227 0.154
O 0.457 0.273 0.654
O 0.543 0.727 0.346
O 0.543 0.773 0.846
O 0.588 0.568 0.148
O 0.588 0.932 0.648
O 0.634 0.196 0.659
O 0.634 0.304 0.159
O 0.956 0.139 0.291
O 0.956 0.361 0.791

Largest 8 diffraction maxima, low angle first, 10° ≤ 2θ ≤ 80°:
16.17°, intensity 100.0, (1 1 0); 16.60°, intensity 34.7, (0 0 2); 17.45°, intensity 71.0, (0 2 0); 24.17°, intensity 28.4, (0 2 2); 26.74°, intensity 41.8, (2 1 -1); 27.25°, intensity 24.0, (2 1 -2); 30.67°, intensity 39.4, (0 2 3); 31.28°, intensity 45.7, (0 3 2)

---

For V4OF11, a crystal structure in the Materials Project, relaxed with GGA+U gives the simulated X-ray powder pattern in this record (Cu Kα).
Intensities are scaled so that the largest is 100.

Structural model:
Lattice parameters (Å, degrees): 5.297 5.440 9.105 105.80 90.29 118.86
Atoms (fractional coordinates):
V 0.000 0.000 0.000
V 0.245 0.474 0.763
V 0.498 0.979 0.509
V 0.750 0.484 0.257
O 0.043 0.219 0.891
F 0.065 0.718 0.839
F 0.073 0.732 0.433
F 0.421 0.215 0.085
F 0.428 0.233 0.685
F 0.470 0.730 0.636
F 0.528 0.234 0.386
F 0.571 0.730 0.333
F 0.575 0.736 0.937
F 0.926 0.227 0.587
F 0.927 0.233 0.184
F 0.963 0.739 0.130

Largest 8 diffraction maxima, low angle first, 10° ≤ 2θ ≤ 80°:
23.41°, intensity 100.0, (1 0 1); 23.59°, intensity 51.5, (0 1 -2); 32.83°, intensity 14.5, (0 1 2); 39.51°, intensity 14.5, (2 -2 0); 47.88°, intensity 21.6, (2 0 2); 48.26°, intensity 10.4, (0 2 -4); 53.21°, intensity 13.1, (-1 2 3); 53.31°, intensity 12.6, (1 1 3)

---

For CsUVO6, a crystal structure in the Materials Project, relaxed with GGA+U gives the simulated X-ray powder pattern in this record (Cu Kα).
Intensities are scaled so that the largest is 100.

Structural model:
Lattice parameters (Å, degrees): 7.840 8.495 10.628 90.00 106.07 90.00
Atoms (fractional coordinates):
Cs 0.035 0.233 0.364
Cs 0.035 0.267 0.864
Cs 0.965 0.733 0.136
Cs 0.965 0.767 0.636
U 0.490 0.018 0.180
U 0.490 0.482 0.680
U 0.510 0.518 0.320
U 0.510 0.982 0.820
V 0.401 0.648 0.942
V 0.401 0.852 0.442
V 0.599 0.148 0.558
V 0.599 0.352 0.058
O 0.187 0.634 0.930
O 0.187 0.866 0.430
O 0.251 0.060 0.120
O 0.251 0.440 0.620
O 0.273 0.026 0.760
O 0.273 0.474 0.260
O 0.427 0.711 0.783
O 0.427 0.789 0.283
O 0.469 0.060 0.393
O 0.469 0.440 0.893
O 0.471 0.655 0.505
O 0.471 0.845 0.005
O 0.529 0.155 0.995
O 0.529 0.345 0.495
O 0.531 0.560 0.107
O 0.531 0.940 0.607
O 0.573 0.211 0.717
O 0.573 0.289 0.217
O 0.727 0.526 0.740
O 0.727 0.974 0.240
O 0.749 0.560 0.380
O 0.749 0.940 0.880
O 0.813 0.134 0.570
O 0.813 0.366 0.070

Largest 8 diffraction maxima, low angle first, 10° ≤ 2θ ≤ 80°:
11.75°, intensity 84.3, (1 0 0); 20.91°, intensity 29.5, (1 1 -2); 23.62°, intensity 70.4, (2 0 0); 24.05°, intensity 100.0, (1 2 0); 25.86°, intensity 36.1, (1 1 2); 27.66°, intensity 50.3, (1 1 -3); 27.79°, intensity 30.1, (1 2 -2); 28.24°, intensity 29.6, (0 1 3)